Diffraction record for Sr8Co8O23. The powder diffractogram is calculated, not measured: it uses a crystal structure in the Materials Project, relaxed with GGA+U and CuKα.
Kinematic intensities with the Lorentz-polarization factor, no thermal factor.

Structure:
```
data_Sr8Co8O23
_symmetry_space_group_name_H-M 'I 4/m m m'
_symmetry_Int_Tables_number 139
_symmetry_space_group_name_Hall '-I 4 2'
_cell_length_a 10.9987
_cell_length_b 10.9987
_cell_length_c 7.7461
_cell_angle_alpha 90.00
_cell_angle_beta 90.00
_cell_angle_gamma 90.00
loop_
_atom_site_label
_atom_site_type_symbol
_atom_site_fract_x
_atom_site_fract_y
_atom_site_fract_z
_atom_site_occupancy
Sr1 Sr 0.0000 0.2450 0.0000 1
Sr2 Sr 0.0000 0.2588 0.5000 1
Co1 Co 0.0000 0.0000 0.2594 1
Co2 Co 0.0000 0.5000 0.2500 1
Co3 Co 0.2500 0.2500 0.2500 1
O1 O 0.0000 0.0000 0.0000 1
O2 O 0.0000 0.5000 0.0000 1
O3 O 0.1166 0.1166 0.2820 1
O4 O 0.1302 0.3698 0.2500 1
O5 O 0.2337 0.2337 0.0000 1
```

Peak list (6 most intense, 2θ from 5° to 70°, in order of falling intensity)
2theta	Rel. int.
32.61	100
58.15	25
46.72	24
68.37	13
58.28	13
46.92	12

***

Diffraction record for Li3VFeP2O8F2. The powder diffractogram is calculated, not measured: it uses a crystal structure in the Materials Project, relaxed with GGA+U and CuKα.
Kinematic intensities with the Lorentz-polarization factor, no thermal factor.

Structure:
```
data_Li3VFeP2O8F2
_symmetry_space_group_name_H-M 'P 1'
_symmetry_Int_Tables_number 1
_symmetry_space_group_name_Hall 'P 1'
_cell_length_a 5.4165
_cell_length_b 7.6244
_cell_length_c 10.2818
_cell_angle_alpha 104.47
_cell_angle_beta 98.35
_cell_angle_gamma 110.16
loop_
_atom_site_label
_atom_site_type_symbol
_atom_site_fract_x
_atom_site_fract_y
_atom_site_fract_z
_atom_site_occupancy
Li1 Li 0.0000 0.0000 0.0000 1
Li2 Li 0.0803 0.6951 0.0407 1
Li3 Li 0.3544 0.7932 0.4425 1
Li4 Li 0.4946 0.4996 0.4996 1
Li5 Li 0.5789 0.1945 0.5403 1
Li6 Li 0.8557 0.2937 0.9426 1
V1 V 0.4692 0.5009 0.9910 1
V2 V 0.9685 0.0009 0.4915 1
Fe1 Fe 0.2190 0.2548 0.2446 1
Fe2 Fe 0.7194 0.7548 0.7449 1
P1 P 0.0596 0.4534 0.7025 1
P2 P 0.3777 0.0494 0.7803 1
P3 P 0.5606 0.9529 0.2026 1
P4 P 0.8765 0.5496 0.2802 1
O1 O 0.1194 0.4980 0.3269 1
O2 O 0.1270 0.9437 0.8263 1
O3 O 0.1284 0.4941 0.8649 1
O4 O 0.3062 0.0057 0.6177 1
O5 O 0.3131 0.5596 0.6586 1
O6 O 0.3177 0.0054 0.1555 1
O7 O 0.4465 0.7229 0.1318 1
O8 O 0.4926 0.2795 0.8501 1
O9 O 0.6215 0.9978 0.8260 1
O10 O 0.6240 0.4436 0.3251 1
O11 O 0.6275 0.9938 0.3650 1
O12 O 0.8066 0.5059 0.1176 1
O13 O 0.8157 0.0597 0.1598 1
O14 O 0.8161 0.5064 0.6566 1
O15 O 0.9446 0.2233 0.6316 1
O16 O 0.9908 0.7796 0.3502 1
F1 F 0.1831 0.2971 0.0457 1
F2 F 0.2610 0.2058 0.4400 1
F3 F 0.6823 0.7968 0.5459 1
F4 F 0.7615 0.7061 0.9399 1
```

Peak list (6 most intense, 2θ from 5° to 70°, in order of falling intensity)
2theta	Rel. int.
26.59	100
28.31	58
26.30	25
17.58	22
18.29	21
36.14	17

***

Diffraction record for Li3MnCoNiO6. The powder diffractogram is calculated, not measured: it uses a crystal structure in the Materials Project, relaxed with GGA+U and CuKα.
Kinematic intensities with the Lorentz-polarization factor, no thermal factor.

Structure:
```
data_Li3MnCoNiO6
_symmetry_space_group_name_H-M 'C 1 2 1'
_symmetry_Int_Tables_number 5
_symmetry_space_group_name_Hall 'C 2y'
_cell_length_a 5.0406
_cell_length_b 8.8542
_cell_length_c 5.1196
_cell_angle_alpha 90.00
_cell_angle_beta 108.85
_cell_angle_gamma 90.00
loop_
_atom_site_label
_atom_site_type_symbol
_atom_site_fract_x
_atom_site_fract_y
_atom_site_fract_z
_atom_site_occupancy
Li1 Li 0.0000 0.0000 0.0000 1
Li2 Li 0.0000 0.3322 0.0000 1
Li3 Li 0.0000 0.6652 0.0000 1
Mn1 Mn 0.0000 0.4996 0.5000 1
Co1 Co 0.0000 0.8304 0.5000 1
Ni1 Ni 0.0000 0.1656 0.5000 1
O1 O 0.2273 0.6580 0.7309 1
O2 O 0.2406 0.4960 0.2742 1
O3 O 0.2451 0.3435 0.7255 1
```

Peak list (6 most intense, 2θ from 5° to 70°, in order of falling intensity)
2theta	Rel. int.
18.31	100
43.33	51
35.78	29
62.93	28
43.83	25
47.56	15

***

Diffraction record for Fe3Cu2TeP6O24. The powder diffractogram is calculated, not measured: it uses a crystal structure in the Materials Project, relaxed with GGA+U and CuKα.
Kinematic intensities with the Lorentz-polarization factor, no thermal factor.

Structure:
```
data_Fe3Cu2TeP6O24
_symmetry_space_group_name_H-M 'R 3'
_symmetry_Int_Tables_number 146
_symmetry_space_group_name_Hall 'R 3'
_cell_length_a 8.6646
_cell_length_b 8.6646
_cell_length_c 21.2361
_cell_angle_alpha 90.00
_cell_angle_beta 90.00
_cell_angle_gamma 120.00
loop_
_atom_site_label
_atom_site_type_symbol
_atom_site_fract_x
_atom_site_fract_y
_atom_site_fract_z
_atom_site_occupancy
Fe1 Fe 0.0000 0.0000 0.0000 1
Fe2 Fe 0.0000 0.0000 0.2109 1
Fe3 Fe 0.0000 0.0000 0.4983 1
Cu1 Cu 0.0000 0.0000 0.3555 1
Cu2 Cu 0.0000 0.0000 0.8647 1
Te1 Te 0.0000 0.0000 0.7124 1
P1 P 0.0046 0.7115 0.1037 1
P2 P 0.0391 0.3694 0.2700 1
O1 O 0.0215 0.8407 0.7752 1
O2 O 0.0239 0.1853 0.2773 1
O3 O 0.1387 0.6696 0.7106 1
O4 O 0.1403 0.4651 0.3346 1
O5 O 0.1402 0.6762 0.8310 1
O6 O 0.1444 0.4750 0.2135 1
O7 O 0.1648 0.6808 0.0997 1
O8 O 0.1676 0.4780 0.6020 1
```

Peak list (6 most intense, 2θ from 5° to 70°, in order of falling intensity)
2theta	Rel. int.
20.50	100
24.08	67
32.67	66
35.90	41
56.17	37
46.88	26

***

Diffraction record for V4O5F7. The powder diffractogram is calculated, not measured: it uses a crystal structure in the Materials Project, relaxed with GGA+U and CuKα.
Kinematic intensities with the Lorentz-polarization factor, no thermal factor.

Structure:
```
data_V4O5F7
_symmetry_space_group_name_H-M 'P 1'
_symmetry_Int_Tables_number 1
_symmetry_space_group_name_Hall 'P 1'
_cell_length_a 5.1584
_cell_length_b 5.3646
_cell_length_c 9.0436
_cell_angle_alpha 73.45
_cell_angle_beta 74.22
_cell_angle_gamma 61.52
loop_
_atom_site_label
_atom_site_type_symbol
_atom_site_fract_x
_atom_site_fract_y
_atom_site_fract_z
_atom_site_occupancy
V1 V 0.0000 0.0000 0.0000 1
V2 V 0.1993 0.2564 0.2531 1
V3 V 0.4418 0.5196 0.4952 1
V4 V 0.7435 0.7772 0.7486 1
O1 O 0.0299 0.6866 0.5968 1
O2 O 0.0496 0.1087 0.1770 1
O3 O 0.3601 0.8555 0.9200 1
O4 O 0.3784 0.4356 0.3465 1
O5 O 0.8605 0.9248 0.8436 1
F1 F 0.4350 0.8941 0.3861 1
F2 F 0.4867 0.1411 0.6361 1
F3 F 0.5377 0.6031 0.6752 1
F4 F 0.5487 0.1926 0.0894 1
F5 F 0.8832 0.3450 0.4377 1
F6 F 0.9122 0.4001 0.8816 1
F7 F 0.9843 0.6513 0.1411 1
```

Peak list (6 most intense, 2θ from 5° to 70°, in order of falling intensity)
2theta	Rel. int.
24.21	100
23.44	99
23.89	99
53.72	24
47.95	24
48.90	19

***

Diffraction record for EuWO3. The powder diffractogram is calculated, not measured: it uses a crystal structure in the Materials Project, relaxed with GGA+U and CuKα.
Kinematic intensities with the Lorentz-polarization factor, no thermal factor.

Structure:
```
data_EuWO3
_symmetry_space_group_name_H-M 'P m -3 m'
_symmetry_Int_Tables_number 221
_symmetry_space_group_name_Hall '-P 4 2 3'
_cell_length_a 4.1002
_cell_length_b 4.1002
_cell_length_c 4.1002
_cell_angle_alpha 90.00
_cell_angle_beta 90.00
_cell_angle_gamma 90.00
loop_
_atom_site_label
_atom_site_type_symbol
_atom_site_fract_x
_atom_site_fract_y
_atom_site_fract_z
_atom_site_occupancy
Eu1 Eu 0.0000 0.0000 0.0000 1
W1 W 0.5000 0.5000 0.5000 1
O1 O 0.0000 0.5000 0.5000 1
```

Peak list (6 most intense, 2θ from 5° to 70°, in order of falling intensity)
2theta	Rel. int.
30.84	100
54.85	41
44.18	27
64.26	17
21.67	3
49.72	1

***

Diffraction record for MgV2Bi2Pb2O10. The powder diffractogram is calculated, not measured: it uses a crystal structure in the Materials Project, relaxed with GGA+U and CuKα.
Kinematic intensities with the Lorentz-polarization factor, no thermal factor.

Structure:
```
data_MgV2Bi2Pb2O10
_symmetry_space_group_name_H-M 'C 1 2 1'
_symmetry_Int_Tables_number 5
_symmetry_space_group_name_Hall 'C 2y'
_cell_length_a 13.9763
_cell_length_b 6.1154
_cell_length_c 7.2333
_cell_angle_alpha 90.00
_cell_angle_beta 108.93
_cell_angle_gamma 90.00
loop_
_atom_site_label
_atom_site_type_symbol
_atom_site_fract_x
_atom_site_fract_y
_atom_site_fract_z
_atom_site_occupancy
Mg1 Mg 0.0000 0.0000 0.0000 1
V1 V 0.1894 0.8326 0.1588 1
Bi1 Bi 0.0210 0.4842 0.7532 1
Pb1 Pb 0.1410 0.9854 0.5611 1
O1 O 0.0000 0.2374 0.5000 1
O2 O 0.0000 0.6912 0.5000 1
O3 O 0.0912 0.8093 0.9053 1
O4 O 0.1207 0.0710 0.2243 1
O5 O 0.1653 0.6262 0.3070 1
O6 O 0.1795 0.3625 0.8147 1
```

Peak list (6 most intense, 2θ from 5° to 70°, in order of falling intensity)
2theta	Rel. int.
24.90	100
28.73	79
49.24	28
29.21	27
12.94	23
13.39	21

***

Diffraction record for LiFeF4. The powder diffractogram is calculated, not measured: it uses a crystal structure in the Materials Project, relaxed with GGA+U and CuKα.
Kinematic intensities with the Lorentz-polarization factor, no thermal factor.

Structure:
```
data_LiFeF4
_symmetry_space_group_name_H-M 'P 1 2/c 1'
_symmetry_Int_Tables_number 13
_symmetry_space_group_name_Hall '-P 2yc'
_cell_length_a 4.7090
_cell_length_b 5.6873
_cell_length_c 5.0706
_cell_angle_alpha 90.00
_cell_angle_beta 92.50
_cell_angle_gamma 90.00
loop_
_atom_site_label
_atom_site_type_symbol
_atom_site_fract_x
_atom_site_fract_y
_atom_site_fract_z
_atom_site_occupancy
Li1 Li 0.0000 0.1417 0.2500 1
Fe1 Fe 0.5000 0.3345 0.7500 1
F1 F 0.2380 0.1236 0.5895 1
F2 F 0.2809 0.3912 0.0693 1
```

Peak list (6 most intense, 2θ from 5° to 70°, in order of falling intensity)
2theta	Rel. int.
18.86	100
41.53	93
23.52	89
39.67	54
24.56	53
29.82	51